[1]
Structure and computed powder diffractogram of MgZnNiPt (a DFT-relaxed cell (GGA-PBE, Alexandria); copper Kα).
Kinematic intensities with the Lorentz-polarization factor, no thermal factor.

Largest 6 diffraction maxima, low angle first, 2θ = 5–70°:
2theta, I (rel.)
25.2, 18
25.6, 48
31.6, 20
40.8, 100
45.3, 37
52.7, 14

Structural model:
```
data_MgZnNiPt
_chemical_formula_sum 'Mg2 Zn2 Ni2 Pt2'
_cell_length_a 4.005
_cell_length_b 4.005
_cell_length_c 7.074
_cell_angle_alpha 90.00
_cell_angle_beta 90.00
_cell_angle_gamma 90.00
_symmetry_space_group_name_H-M 'P 1'
_symmetry_Int_Tables_number 1
_symmetry_space_group_name_Hall 'P 1'
loop_
_atom_site_label
_atom_site_type_symbol
_atom_site_fract_x
_atom_site_fract_y
_atom_site_fract_z
Mg1 Mg 0.000 0.000 0.000
Mg2 Mg 0.500 0.500 0.500
Zn1 Zn 0.000 0.000 0.500
Zn2 Zn 0.500 0.500 0.000
Ni1 Ni 0.000 0.500 0.250
Ni2 Ni 0.500 0.000 0.750
Pt1 Pt 0.000 0.500 0.750
Pt2 Pt 0.500 0.000 0.250
```

=====

[2]
Structure and computed powder diffractogram of CsAcSeO5 (a DFT-relaxed cell (GGA-PBE, Alexandria); copper Kα).
Kinematic intensities with the Lorentz-polarization factor, no thermal factor.

Largest 6 diffraction maxima, low angle first, 2θ = 5–70°:
2theta, I (rel.)
14.5, 42
22.3, 97
24.1, 78
27.2, 100
28.3, 61
29.8, 40

Structural model:
```
data_CsAcSeO5
_chemical_formula_sum 'Cs2 Ac2 Se2 O10'
_cell_length_a 6.861
_cell_length_b 6.861
_cell_length_c 8.606
_cell_angle_alpha 105.46
_cell_angle_beta 105.46
_cell_angle_gamma 106.28
_symmetry_space_group_name_H-M 'P 1'
_symmetry_Int_Tables_number 1
_symmetry_space_group_name_Hall 'P 1'
loop_
_atom_site_label
_atom_site_type_symbol
_atom_site_fract_x
_atom_site_fract_y
_atom_site_fract_z
Cs1 Cs 0.169 0.831 0.750
Cs2 Cs 0.831 0.169 0.250
Ac1 Ac 0.500 0.500 0.000
Ac2 Ac 0.500 0.500 0.500
Se1 Se 0.187 0.813 0.250
Se2 Se 0.813 0.187 0.750
O1 O 0.067 0.262 0.890
O2 O 0.196 0.644 0.360
O3 O 0.262 0.067 0.390
O4 O 0.356 0.804 0.140
O5 O 0.426 0.574 0.750
O6 O 0.574 0.426 0.250
O7 O 0.644 0.196 0.860
O8 O 0.738 0.933 0.610
O9 O 0.804 0.356 0.640
O10 O 0.933 0.738 0.110
```

=====

[3]
Structure and computed powder diffractogram of SmV2Fe10N (a DFT-relaxed cell (GGA-PBE, Alexandria); copper Kα).
Kinematic intensities with the Lorentz-polarization factor, no thermal factor.

Largest 6 diffraction maxima, low angle first, 2θ = 5–70°:
2theta, I (rel.)
29.8, 35
36.6, 41
42.1, 36
42.3, 32
42.5, 100
43.2, 80

Structural model:
```
data_SmV2Fe10N
_chemical_formula_sum 'Sm1 V2 Fe10 N1'
_cell_length_a 6.515
_cell_length_b 6.515
_cell_length_c 6.515
_cell_angle_alpha 136.76
_cell_angle_beta 97.94
_cell_angle_gamma 97.67
_symmetry_space_group_name_H-M 'P 1'
_symmetry_Int_Tables_number 1
_symmetry_space_group_name_Hall 'P 1'
loop_
_atom_site_label
_atom_site_type_symbol
_atom_site_fract_x
_atom_site_fract_y
_atom_site_fract_z
Sm1 Sm 0.000 0.000 0.000
V1 V 0.360 0.360 0.000
V2 V 0.640 0.640 0.000
Fe1 Fe 0.000 0.000 0.500
Fe2 Fe 0.000 0.500 0.000
Fe3 Fe 0.224 0.724 0.500
Fe4 Fe 0.225 0.500 0.725
Fe5 Fe 0.361 0.000 0.361
Fe6 Fe 0.500 0.000 0.000
Fe7 Fe 0.500 0.500 0.500
Fe8 Fe 0.639 0.000 0.639
Fe9 Fe 0.775 0.500 0.275
Fe10 Fe 0.776 0.276 0.500
N1 N 0.000 0.500 0.500
```

=====

[4]
Structure and computed powder diffractogram of CeY4Ho2 (a DFT-relaxed cell (GGA-PBE, Alexandria); copper Kα).
Kinematic intensities with the Lorentz-polarization factor, no thermal factor.

Largest 6 diffraction maxima, low angle first, 2θ = 5–70°:
2theta, I (rel.)
28.7, 51
31.3, 49
32.4, 100
33.1, 94
50.8, 37
60.9, 29

Structural model:
```
data_CeY4Ho2
_chemical_formula_sum 'Ce2 Y8 Ho4'
_cell_length_a 6.221
_cell_length_b 3.593
_cell_length_c 20.128
_cell_angle_alpha 90.00
_cell_angle_beta 95.92
_cell_angle_gamma 90.00
_symmetry_space_group_name_H-M 'P 1'
_symmetry_Int_Tables_number 1
_symmetry_space_group_name_Hall 'P 1'
loop_
_atom_site_label
_atom_site_type_symbol
_atom_site_fract_x
_atom_site_fract_y
_atom_site_fract_z
Ce1 Ce 0.000 0.000 0.000
Ce2 Ce 0.500 0.500 0.000
Y1 Y 0.098 0.000 0.287
Y2 Y 0.119 0.500 0.856
Y3 Y 0.192 0.000 0.571
Y4 Y 0.215 0.500 0.144
Y5 Y 0.598 0.500 0.287
Y6 Y 0.619 0.000 0.856
Y7 Y 0.692 0.500 0.571
Y8 Y 0.715 0.000 0.144
Ho1 Ho 0.312 0.500 0.430
Ho2 Ho 0.405 0.500 0.714
Ho3 Ho 0.812 0.000 0.430
Ho4 Ho 0.905 0.000 0.714
```

=====

[5]
Structure and computed powder diffractogram of La5Tl6Ag (a DFT-relaxed cell (GGA-PBE, Alexandria); copper Kα).
Kinematic intensities with the Lorentz-polarization factor, no thermal factor.

Largest 6 diffraction maxima, low angle first, 2θ = 5–70°:
2theta, I (rel.)
31.5, 24
32.1, 100
33.0, 24
56.4, 12
57.6, 10
58.3, 14

Structural model:
```
data_La5Tl6Ag
_chemical_formula_sum 'La5 Tl6 Ag1'
_cell_length_a 5.436
_cell_length_b 7.926
_cell_length_c 9.770
_cell_angle_alpha 113.83
_cell_angle_beta 105.97
_cell_angle_gamma 90.07
_symmetry_space_group_name_H-M 'P 1'
_symmetry_Int_Tables_number 1
_symmetry_space_group_name_Hall 'P 1'
loop_
_atom_site_label
_atom_site_type_symbol
_atom_site_fract_x
_atom_site_fract_y
_atom_site_fract_z
La1 La 0.000 0.000 0.000
La2 La 0.321 0.822 0.643
La3 La 0.354 0.355 0.709
La4 La 0.646 0.645 0.291
La5 La 0.679 0.178 0.357
Tl1 Tl 0.162 0.411 0.323
Tl2 Tl 0.162 0.912 0.323
Tl3 Tl 0.499 0.760 0.000
Tl4 Tl 0.501 0.240 0.000
Tl5 Tl 0.838 0.088 0.677
Tl6 Tl 0.838 0.589 0.677
Ag1 Ag 0.000 0.500 0.000
```

=====

[6]
Structure and computed powder diffractogram of ZrPt7Rh4 (a DFT-relaxed cell (GGA-PBE, Alexandria); copper Kα).
Kinematic intensities with the Lorentz-polarization factor, no thermal factor.

Largest 6 diffraction maxima, low angle first, 2θ = 5–70°:
2theta, I (rel.)
39.3, 100
39.5, 99
45.5, 33
45.9, 32
46.0, 32
66.7, 21

Structural model:
```
data_ZrPt7Rh4
_chemical_formula_sum 'Zr1 Pt7 Rh4'
_cell_length_a 4.883
_cell_length_b 5.581
_cell_length_c 7.393
_cell_angle_alpha 112.14
_cell_angle_beta 90.27
_cell_angle_gamma 90.32
_symmetry_space_group_name_H-M 'P 1'
_symmetry_Int_Tables_number 1
_symmetry_space_group_name_Hall 'P 1'
loop_
_atom_site_label
_atom_site_type_symbol
_atom_site_fract_x
_atom_site_fract_y
_atom_site_fract_z
Zr1 Zr 0.000 0.000 0.000
Pt1 Pt 0.000 0.500 0.000
Pt2 Pt 0.169 0.580 0.663
Pt3 Pt 0.341 0.161 0.329
Pt4 Pt 0.499 0.253 0.999
Pt5 Pt 0.501 0.747 0.001
Pt6 Pt 0.659 0.839 0.671
Pt7 Pt 0.831 0.420 0.337
Rh1 Rh 0.164 0.083 0.662
Rh2 Rh 0.326 0.669 0.331
Rh3 Rh 0.674 0.331 0.669
Rh4 Rh 0.836 0.917 0.338
```